This entry pairs a crystal structure of FeH4S2NO8 with its simulated X-ray powder pattern. Radiation: λ = 1.5418 Å (Cu Kα). Structure: the PBE+U geometry in Alexandria.

The 8 most intense peaks (10° ≤ 2θ ≤ 80°), by intensity:
d/Å	I_rel
3.515	100
8.353	77
2.451	19
2.009	13
1.554	13
4.186	12
2.521	10
2.114	9

Structure:
Cell lengths 8.820, 8.820, 8.820 Å; angles 32.27, 32.27, 32.27 degrees
Element x y z (fractional)
Fe  0.000  0.000  0.000
H  0.395  0.743  0.396
H  0.396  0.395  0.743
H  0.457  0.457  0.457
H  0.743  0.396  0.395
S  0.265  0.265  0.265
S  0.734  0.734  0.734
N  0.498  0.498  0.498
O  0.021  0.591  0.242
O  0.206  0.206  0.206
O  0.242  0.021  0.591
O  0.409  0.752  0.980
O  0.591  0.242  0.021
O  0.752  0.980  0.409
O  0.792  0.792  0.792
O  0.980  0.409  0.752